# Sr2V3BiO11
Simulated powder XRD pattern, Cu Kα, 1.54184 Å. Input: a cell relaxed with PBE+U.
No peak broadening, texture or thermal motion is included.

Structural model:
abc: 7.0885 7.1372 10.3840
angles: 99.27 95.78 92.91
Space group P-1 (No. 2)
Asymmetric unit:
Sr  0.1458  0.2519  0.4779
Sr  0.1621  0.6080  0.8644
V  0.1370  0.1121  0.8377
V  0.3426  0.7634  0.5387
V  0.3645  0.5744  0.2346
Bi  0.3472  0.0731  0.1393
O  0.0506  0.0564  0.2312
O  0.0844  0.2573  0.9775
O  0.1574  0.4670  0.2630
O  0.1850  0.9166  0.4936
O  0.1972  0.2607  0.7334
O  0.1999  0.6010  0.5964
O  0.3262  0.7438  0.1331
O  0.3267  0.9722  0.8941
O  0.4657  0.1291  0.3507
O  0.4717  0.6633  0.4026
O  0.4883  0.3955  0.1553

Top 6 peaks for 2θ from 10° to 90°, in order of falling intensity:
index, 2θ (°), I/Imax
2 0 -2, 29.19, 100
0 0 3, 26.25, 74
0 2 -1, 25.37, 45
0 1 -1, 14.06, 43
0 1 3, 31.16, 42
1 2 -1, 28.76, 39